Entry 1:
# ErGePd
Computed X-ray powder pattern, CuKα. Input: a cell relaxed with GGA-PBE.
Peak positions follow from Bragg's law for the DFT cell and can differ from measured ones.

Main lines, in order of rising 2θ (2θ = 10–90°):
two_theta  intensity
33.49  42
34.64  46
34.91  100
40.58  73
41.29  36
54.96  25

Atomic structure:
```
data_ErGePd
_cell_length_a 5.646
_cell_length_b 5.646
_cell_length_c 6.966
_cell_angle_alpha 128.05
_cell_angle_beta 128.05
_cell_angle_gamma 45.56
_symmetry_space_group_name_H-M 'P 1'
_symmetry_Int_Tables_number 1
loop_
_symmetry_equiv_pos_as_xyz
'x,y,z'
loop_
_atom_site_label
_atom_site_fract_x
_atom_site_fract_y
_atom_site_fract_z
_atom_site_occupancy
Er1 0.044 0.044 0.285 1
Er2 0.956 0.956 0.715 1
Ge1 0.340 0.340 0.287 1
Ge2 0.660 0.660 0.713 1
Pd1 0.323 0.323 0.874 1
Pd2 0.677 0.677 0.126 1
```

Entry 2:
# ErGePd
Computed X-ray powder pattern, CuKα. Input: a cell relaxed with GGA-PBE.
Peak positions follow from Bragg's law for the DFT cell and can differ from measured ones.

Main lines, in order of rising 2θ (2θ = 10–90°):
two_theta  intensity
33.75  21
34.97  100
41.14  61
55.07  21
67.16  12
71.00  16

Atomic structure:
```
data_ErGePd
_cell_length_a 11.319
_cell_length_b 11.319
_cell_length_c 11.319
_cell_angle_alpha 157.65
_cell_angle_beta 45.64
_cell_angle_gamma 140.74
_symmetry_space_group_name_H-M 'P 1'
_symmetry_Int_Tables_number 1
loop_
_symmetry_equiv_pos_as_xyz
'x,y,z'
loop_
_atom_site_label
_atom_site_fract_x
_atom_site_fract_y
_atom_site_fract_z
_atom_site_occupancy
Er1 0.000 0.000 0.000 1
Er2 0.243 0.076 0.167 1
Er3 0.333 0.000 0.333 1
Er4 0.583 0.083 0.500 1
Er5 0.667 0.000 0.667 1
Er6 0.909 0.076 0.833 1
Ge1 0.316 0.382 0.934 1
Ge2 0.447 0.382 0.066 1
Ge3 0.462 0.698 0.764 1
Ge4 0.788 0.381 0.407 1
Ge5 0.933 0.698 0.236 1
Ge6 0.974 0.381 0.593 1
Pd1 0.102 0.369 0.733 1
Pd2 0.141 0.713 0.428 1
Pd3 0.285 0.713 0.572 1
Pd4 0.604 0.708 0.896 1
Pd5 0.635 0.369 0.267 1
Pd6 0.813 0.708 0.104 1
```

Entry 3:
# ErGe2Pt
Computed X-ray powder pattern, CuKα. Input: a cell relaxed with GGA-PBE.
Peak positions follow from Bragg's law for the DFT cell and can differ from measured ones.

Main lines, in order of rising 2θ (2θ = 10–90°):
two_theta  intensity
33.40  100
34.22  43
38.71  25
41.27  23
41.84  34
70.22  16

Atomic structure:
```
data_ErGe2Pt
_cell_length_a 9.576
_cell_length_b 9.576
_cell_length_c 9.576
_cell_angle_alpha 153.94
_cell_angle_beta 125.61
_cell_angle_gamma 61.28
_symmetry_space_group_name_H-M 'P 1'
_symmetry_Int_Tables_number 1
loop_
_symmetry_equiv_pos_as_xyz
'x,y,z'
loop_
_atom_site_label
_atom_site_fract_x
_atom_site_fract_y
_atom_site_fract_z
_atom_site_occupancy
Er1 0.200 0.200 0.000 1
Er2 0.237 0.000 0.237 1
Er3 0.763 0.000 0.763 1
Er4 0.800 0.800 0.000 1
Ge1 0.074 0.574 0.500 1
Ge2 0.149 0.799 0.350 1
Ge3 0.427 0.427 0.000 1
Ge4 0.449 0.799 0.650 1
Ge5 0.551 0.201 0.350 1
Ge6 0.573 0.573 0.000 1
Ge7 0.851 0.201 0.650 1
Ge8 0.926 0.426 0.500 1
Pt1 0.103 0.353 0.750 1
Pt2 0.398 0.647 0.750 1
Pt3 0.602 0.353 0.250 1
Pt4 0.897 0.647 0.250 1
```

Entry 4:
# Er2Ge6Pt
Computed X-ray powder pattern, CuKα. Input: a cell relaxed with GGA-PBE.
Peak positions follow from Bragg's law for the DFT cell and can differ from measured ones.

Main lines, in order of rising 2θ (2θ = 10–90°):
two_theta  intensity
32.88  26
33.44  100
42.64  21
43.31  21
44.35  23
44.62  23

Atomic structure:
```
data_Er2Ge6Pt
_cell_length_a 4.085
_cell_length_b 11.150
_cell_length_c 11.150
_cell_angle_alpha 20.99
_cell_angle_beta 90.00
_cell_angle_gamma 90.00
_symmetry_space_group_name_H-M 'P 1'
_symmetry_Int_Tables_number 1
loop_
_symmetry_equiv_pos_as_xyz
'x,y,z'
loop_
_atom_site_label
_atom_site_fract_x
_atom_site_fract_y
_atom_site_fract_z
_atom_site_occupancy
Er1 0.000 0.000 0.000 1
Er2 0.000 0.339 0.339 1
Ge1 0.000 0.601 0.601 1
Ge2 0.000 0.715 0.715 1
Ge3 0.500 0.100 0.100 1
Ge4 0.500 0.214 0.214 1
Ge5 0.500 0.463 0.463 1
Ge6 0.500 0.892 0.892 1
Pt1 0.500 0.782 0.782 1
```

Entry 5:
# ErGePt
Computed X-ray powder pattern, CuKα. Input: a cell relaxed with GGA-PBE.
Peak positions follow from Bragg's law for the DFT cell and can differ from measured ones.

Main lines, in order of rising 2θ (2θ = 10–90°):
two_theta  intensity
26.79  19
33.77  28
34.95  100
40.58  17
41.12  44
41.38  29

Atomic structure:
```
data_ErGePt
_cell_length_a 6.973
_cell_length_b 4.364
_cell_length_c 7.620
_cell_angle_alpha 90.00
_cell_angle_beta 90.00
_cell_angle_gamma 90.00
_symmetry_space_group_name_H-M 'P 1'
_symmetry_Int_Tables_number 1
loop_
_symmetry_equiv_pos_as_xyz
'x,y,z'
loop_
_atom_site_label
_atom_site_fract_x
_atom_site_fract_y
_atom_site_fract_z
_atom_site_occupancy
Er1 0.003 0.250 0.204 1
Er2 0.497 0.750 0.704 1
Er3 0.503 0.250 0.296 1
Er4 0.997 0.750 0.796 1
Ge1 0.191 0.250 0.590 1
Ge2 0.309 0.750 0.090 1
Ge3 0.691 0.250 0.910 1
Ge4 0.809 0.750 0.410 1
Pt1 0.206 0.750 0.416 1
Pt2 0.294 0.250 0.916 1
Pt3 0.706 0.750 0.084 1
Pt4 0.794 0.250 0.584 1
```

Entry 6:
# Er2Ge3Pt9
Computed X-ray powder pattern, CuKα. Input: a cell relaxed with GGA-PBE.
Peak positions follow from Bragg's law for the DFT cell and can differ from measured ones.

Main lines, in order of rising 2θ (2θ = 10–90°):
two_theta  intensity
37.73  100
37.84  50
39.90  66
40.03  40
71.03  25
71.14  21

Atomic structure:
```
data_Er2Ge3Pt9
_cell_length_a 7.811
_cell_length_b 7.811
_cell_length_c 10.088
_cell_angle_alpha 112.89
_cell_angle_beta 112.89
_cell_angle_gamma 60.21
_symmetry_space_group_name_H-M 'P 1'
_symmetry_Int_Tables_number 1
loop_
_symmetry_equiv_pos_as_xyz
'x,y,z'
loop_
_atom_site_label
_atom_site_fract_x
_atom_site_fract_y
_atom_site_fract_z
_atom_site_occupancy
Er1 0.084 0.256 0.251 1
Er2 0.256 0.084 0.751 1
Er3 0.744 0.916 0.249 1
Er4 0.916 0.744 0.749 1
Ge1 0.000 0.500 0.000 1
Ge2 0.139 0.682 0.502 1
Ge3 0.318 0.861 0.998 1
Ge4 0.500 0.000 0.500 1
Ge5 0.682 0.139 0.002 1
Ge6 0.861 0.318 0.498 1
Pt1 0.022 0.861 0.078 1
Pt2 0.139 0.978 0.422 1
Pt3 0.193 0.360 0.579 1
Pt4 0.203 0.584 0.257 1
Pt5 0.300 0.479 0.928 1
Pt6 0.360 0.193 0.079 1
Pt7 0.365 0.635 0.750 1
Pt8 0.416 0.797 0.243 1
Pt9 0.479 0.300 0.428 1
Pt10 0.521 0.700 0.572 1
Pt11 0.584 0.203 0.757 1
Pt12 0.635 0.365 0.250 1
Pt13 0.640 0.807 0.921 1
Pt14 0.700 0.521 0.072 1
Pt15 0.797 0.416 0.743 1
Pt16 0.807 0.640 0.421 1
Pt17 0.861 0.022 0.578 1
Pt18 0.978 0.139 0.922 1
```

Entry 7:
# ErGeRh2
Computed X-ray powder pattern, CuKα. Input: a cell relaxed with GGA-PBE.
Peak positions follow from Bragg's law for the DFT cell and can differ from measured ones.

Main lines, in order of rising 2θ (2θ = 10–90°):
two_theta  intensity
32.07  37
34.38  56
37.67  54
39.82  100
41.24  34
67.08  31

Atomic structure:
```
data_ErGeRh2
_cell_length_a 5.581
_cell_length_b 5.581
_cell_length_c 15.490
_cell_angle_alpha 90.00
_cell_angle_beta 90.00
_cell_angle_gamma 120.00
_symmetry_space_group_name_H-M 'P 1'
_symmetry_Int_Tables_number 1
loop_
_symmetry_equiv_pos_as_xyz
'x,y,z'
loop_
_atom_site_label
_atom_site_fract_x
_atom_site_fract_y
_atom_site_fract_z
_atom_site_occupancy
Er1 0.333 0.667 0.038 1
Er2 0.333 0.667 0.250 1
Er3 0.333 0.667 0.462 1
Er4 0.667 0.333 0.538 1
Er5 0.667 0.333 0.750 1
Er6 0.667 0.333 0.962 1
Ge1 0.000 0.000 0.000 1
Ge2 0.000 0.000 0.250 1
Ge3 0.000 0.000 0.500 1
Ge4 0.000 0.000 0.750 1
Ge5 0.333 0.667 0.750 1
Ge6 0.667 0.333 0.250 1
Rh1 0.168 0.337 0.627 1
Rh2 0.168 0.337 0.873 1
Rh3 0.168 0.832 0.627 1
Rh4 0.168 0.832 0.873 1
Rh5 0.337 0.168 0.127 1
Rh6 0.337 0.168 0.373 1
Rh7 0.663 0.832 0.627 1
Rh8 0.663 0.832 0.873 1
Rh9 0.832 0.168 0.127 1
Rh10 0.832 0.168 0.373 1
Rh11 0.832 0.663 0.127 1
Rh12 0.832 0.663 0.373 1
```

Entry 8:
# ErGeRh
Computed X-ray powder pattern, CuKα. Input: a cell relaxed with GGA-PBE.
Peak positions follow from Bragg's law for the DFT cell and can differ from measured ones.

Main lines, in order of rising 2θ (2θ = 10–90°):
two_theta  intensity
34.17  66
35.28  32
35.45  100
41.56  46
42.00  41
67.87  27

Atomic structure:
```
data_ErGeRh
_cell_length_a 6.885
_cell_length_b 4.302
_cell_length_c 7.554
_cell_angle_alpha 90.00
_cell_angle_beta 90.00
_cell_angle_gamma 90.00
_symmetry_space_group_name_H-M 'P 1'
_symmetry_Int_Tables_number 1
loop_
_symmetry_equiv_pos_as_xyz
'x,y,z'
loop_
_atom_site_label
_atom_site_fract_x
_atom_site_fract_y
_atom_site_fract_z
_atom_site_occupancy
Er1 0.003 0.250 0.196 1
Er2 0.497 0.750 0.696 1
Er3 0.503 0.250 0.304 1
Er4 0.997 0.750 0.804 1
Ge1 0.214 0.750 0.394 1
Ge2 0.286 0.250 0.894 1
Ge3 0.714 0.750 0.106 1
Ge4 0.786 0.250 0.606 1
Rh1 0.156 0.250 0.567 1
Rh2 0.344 0.750 0.067 1
Rh3 0.656 0.250 0.933 1
Rh4 0.844 0.750 0.433 1
```

Entry 9:
# Er2Ge5Ru3
Computed X-ray powder pattern, CuKα. Input: a cell relaxed with GGA-PBE.
Peak positions follow from Bragg's law for the DFT cell and can differ from measured ones.

Main lines, in order of rising 2θ (2θ = 10–90°):
two_theta  intensity
34.06  77
34.64  100
36.19  83
40.56  26
42.80  83
57.64  23

Atomic structure:
```
data_Er2Ge5Ru3
_cell_length_a 8.440
_cell_length_b 8.440
_cell_length_c 8.440
_cell_angle_alpha 108.75
_cell_angle_beta 84.88
_cell_angle_gamma 140.16
_symmetry_space_group_name_H-M 'P 1'
_symmetry_Int_Tables_number 1
loop_
_symmetry_equiv_pos_as_xyz
'x,y,z'
loop_
_atom_site_label
_atom_site_fract_x
_atom_site_fract_y
_atom_site_fract_z
_atom_site_occupancy
Er1 0.138 0.232 0.370 1
Er2 0.362 0.732 0.094 1
Er3 0.638 0.268 0.906 1
Er4 0.862 0.768 0.630 1
Ge1 0.042 0.750 0.292 1
Ge2 0.089 0.675 0.764 1
Ge3 0.250 0.250 0.000 1
Ge4 0.411 0.175 0.586 1
Ge5 0.458 0.750 0.708 1
Ge6 0.542 0.250 0.292 1
Ge7 0.589 0.825 0.414 1
Ge8 0.750 0.750 0.000 1
Ge9 0.911 0.325 0.236 1
Ge10 0.958 0.250 0.708 1
Ru1 0.147 0.907 0.055 1
Ru2 0.250 0.750 0.500 1
Ru3 0.353 0.407 0.760 1
Ru4 0.647 0.593 0.240 1
Ru5 0.750 0.250 0.500 1
Ru6 0.853 0.093 0.945 1
```

Entry 10:
# ErGeRu
Computed X-ray powder pattern, CuKα. Input: a cell relaxed with GGA-PBE.
Peak positions follow from Bragg's law for the DFT cell and can differ from measured ones.

Main lines, in order of rising 2θ (2θ = 10–90°):
two_theta  intensity
34.52  71
35.03  100
35.65  30
40.62  29
41.07  44
42.67  39

Atomic structure:
```
data_ErGeRu
_cell_length_a 6.998
_cell_length_b 4.396
_cell_length_c 7.257
_cell_angle_alpha 90.00
_cell_angle_beta 90.00
_cell_angle_gamma 90.00
_symmetry_space_group_name_H-M 'P 1'
_symmetry_Int_Tables_number 1
loop_
_symmetry_equiv_pos_as_xyz
'x,y,z'
loop_
_atom_site_label
_atom_site_fract_x
_atom_site_fract_y
_atom_site_fract_z
_atom_site_occupancy
Er1 0.012 0.250 0.192 1
Er2 0.488 0.750 0.692 1
Er3 0.512 0.250 0.308 1
Er4 0.988 0.750 0.808 1
Ge1 0.204 0.250 0.607 1
Ge2 0.296 0.750 0.107 1
Ge3 0.704 0.250 0.893 1
Ge4 0.796 0.750 0.393 1
Ru1 0.156 0.750 0.437 1
Ru2 0.344 0.250 0.937 1
Ru3 0.656 0.750 0.063 1
Ru4 0.844 0.250 0.563 1
```

Entry 11:
# Er3Ge3Ru2
Computed X-ray powder pattern, CuKα. Input: a cell relaxed with GGA-PBE.
Peak positions follow from Bragg's law for the DFT cell and can differ from measured ones.

Main lines, in order of rising 2θ (2θ = 10–90°):
two_theta  intensity
33.34  75
34.43  100
36.47  26
38.20  64
38.99  23
42.58  55

Atomic structure:
```
data_Er3Ge3Ru2
_cell_length_a 5.780
_cell_length_b 5.780
_cell_length_c 13.860
_cell_angle_alpha 90.00
_cell_angle_beta 90.00
_cell_angle_gamma 136.90
_symmetry_space_group_name_H-M 'P 1'
_symmetry_Int_Tables_number 1
loop_
_symmetry_equiv_pos_as_xyz
'x,y,z'
loop_
_atom_site_label
_atom_site_fract_x
_atom_site_fract_y
_atom_site_fract_z
_atom_site_occupancy
Er1 0.077 0.923 0.614 1
Er2 0.077 0.923 0.886 1
Er3 0.354 0.646 0.750 1
Er4 0.646 0.354 0.250 1
Er5 0.923 0.077 0.114 1
Er6 0.923 0.077 0.386 1
Ge1 0.338 0.662 0.250 1
Ge2 0.385 0.615 0.540 1
Ge3 0.385 0.615 0.960 1
Ge4 0.615 0.385 0.040 1
Ge5 0.615 0.385 0.460 1
Ge6 0.662 0.338 0.750 1
Ru1 0.213 0.787 0.083 1
Ru2 0.213 0.787 0.417 1
Ru3 0.787 0.213 0.583 1
Ru4 0.787 0.213 0.917 1
```

Entry 12:
# Er2Ge2S7
Computed X-ray powder pattern, CuKα. Input: a cell relaxed with GGA-PBE.
Peak positions follow from Bragg's law for the DFT cell and can differ from measured ones.

Main lines, in order of rising 2θ (2θ = 10–90°):
two_theta  intensity
17.91  100
18.51  38
25.58  69
34.94  44
35.88  46
36.27  43

Atomic structure:
```
data_Er2Ge2S7
_cell_length_a 9.537
_cell_length_b 6.213
_cell_length_c 9.595
_cell_angle_alpha 90.00
_cell_angle_beta 118.16
_cell_angle_gamma 90.00
_symmetry_space_group_name_H-M 'P 1'
_symmetry_Int_Tables_number 1
loop_
_symmetry_equiv_pos_as_xyz
'x,y,z'
loop_
_atom_site_label
_atom_site_fract_x
_atom_site_fract_y
_atom_site_fract_z
_atom_site_occupancy
Er1 0.102 0.000 0.276 1
Er2 0.352 0.501 0.107 1
Er3 0.648 0.001 0.893 1
Er4 0.898 0.500 0.724 1
Ge1 0.168 0.930 0.831 1
Ge2 0.492 0.311 0.491 1
Ge3 0.508 0.811 0.509 1
Ge4 0.832 0.430 0.169 1
S1 0.011 0.791 0.598 1
S2 0.075 0.766 0.983 1
S3 0.175 0.288 0.829 1
S4 0.279 0.605 0.363 1
S5 0.365 0.071 0.593 1
S6 0.380 0.112 0.261 1
S7 0.416 0.804 0.947 1
S8 0.584 0.304 0.053 1
S9 0.620 0.612 0.739 1
S10 0.635 0.571 0.407 1
S11 0.721 0.105 0.637 1
S12 0.825 0.788 0.171 1
S13 0.925 0.266 0.017 1
S14 0.989 0.291 0.402 1
```

> What is the formula in the fifth record?

ErGePt